Calculated powder X-ray diffraction pattern of SmHo4Tc for Cu Kα, from a DFT-relaxed cell (PBE, Alexandria).
Intensities are scaled so that the largest is 100.

Crystal structure
a = 8.7909 Å, b = 3.7323 Å, c = 20.4668 Å
α = 90.00°, β = 90.00°, γ = 90.00°
Sites, in units of the cell vectors:
Sm (0.2262, 0.2500, 0.1879)
Sm (0.2738, 0.7500, 0.6879)
Sm (0.7262, 0.2500, 0.3121)
Sm (0.7738, 0.7500, 0.8121)
Ho (0.0095, 0.7500, 0.5663)
Ho (0.0384, 0.7500, 0.2934)
Ho (0.1324, 0.7500, 0.0438)
Ho (0.1495, 0.7500, 0.8587)
Ho (0.3505, 0.2500, 0.3587)
Ho (0.3676, 0.2500, 0.5438)
Ho (0.4616, 0.2500, 0.7934)
Ho (0.4905, 0.2500, 0.0663)
Ho (0.5095, 0.7500, 0.9337)
Ho (0.5384, 0.7500, 0.2066)
Ho (0.6324, 0.7500, 0.4562)
Ho (0.6495, 0.7500, 0.6413)
Ho (0.8505, 0.2500, 0.1413)
Ho (0.8676, 0.2500, 0.9562)
Ho (0.9616, 0.2500, 0.7066)
Ho (0.9905, 0.2500, 0.4337)
Tc (0.2391, 0.7500, 0.4549)
Tc (0.2609, 0.2500, 0.9549)
Tc (0.7391, 0.7500, 0.0451)
Tc (0.7609, 0.2500, 0.5451)

Main lines, low angle first (10° ≤ 2θ ≤ 90°):
2θ/deg, intensity
30.83, 31.0
31.38, 100.0
32.46, 21.7
34.13, 50.8
35.30, 27.4
38.54, 21.8


Calculated powder X-ray diffraction pattern of Sm3Ho4Te8 for Cu Kα, from a DFT-relaxed cell (PBE, Alexandria).
Intensities are scaled so that the largest is 100.

Crystal structure
a = 8.7439 Å, b = 8.7439 Å, c = 8.7401 Å
α = 119.95°, β = 119.95°, γ = 90.03°
Sites, in units of the cell vectors:
Sm (0.0000, 0.0000, 0.0000)
Sm (0.0000, 0.5000, 0.0000)
Sm (0.5000, 0.0000, 0.0000)
Ho (0.0000, 0.5000, 0.5000)
Ho (0.5000, 0.0000, 0.5000)
Ho (0.5000, 0.5000, 0.0000)
Ho (0.5000, 0.5000, 0.5000)
Te (0.2467, 0.7533, 0.5000)
Te (0.2495, 0.2495, 0.5058)
Te (0.2499, 0.2499, 0.9938)
Te (0.2529, 0.7471, 0.0000)
Te (0.7471, 0.2529, 0.0000)
Te (0.7501, 0.7501, 0.0062)
Te (0.7505, 0.7505, 0.4942)
Te (0.7533, 0.2467, 0.5000)

Main lines, low angle first (10° ≤ 2θ ≤ 90°):
2θ/deg, intensity
28.87, 100.0
41.29, 75.9
51.17, 27.1
59.82, 12.7
67.76, 31.8
75.27, 21.3